The following is a simulated PXRD pattern of Sm3Te3Cl. It was derived from a structure optimized by DFT (PBE), using copper Kα.
No peak broadening, texture or thermal motion is included.

Top 6 peaks for 15° ≤ 2θ ≤ 90°, in order of rising 2θ:
d (Å)	I (rel.)
3.134	100
2.922	36
2.442	29
2.216	38
2.137	56
1.766	31

Atomic structure:
a = 4.432 Å, b = 4.432 Å, c = 11.689 Å
α = 90.00°, β = 90.00°, γ = 90.00°
Element x y z (fractional)
Sm: 0.000 0.000 0.000
Sm: 0.500 0.500 0.268
Sm: 0.500 0.500 0.732
Te: 0.000 0.000 0.275
Te: 0.000 0.000 0.725
Te: 0.500 0.500 0.000
Cl: 0.500 0.500 0.500

=====

The following is a simulated PXRD pattern of Rb2Si2Bi. It was derived from a structure optimized by DFT (PBE), using copper Kα.
No peak broadening, texture or thermal motion is included.

Top 6 peaks for 15° ≤ 2θ ≤ 90°, in order of rising 2θ:
d (Å)	I (rel.)
5.371	29
3.926	46
3.170	100
2.877	29
1.844	30
1.711	31

Atomic structure:
a = 7.595 Å, b = 7.595 Å, c = 5.754 Å
α = 90.00°, β = 90.00°, γ = 90.00°
Element x y z (fractional)
Rb: 0.196 0.304 0.000
Rb: 0.304 0.804 0.000
Rb: 0.696 0.196 0.000
Rb: 0.804 0.696 0.000
Si: 0.104 0.604 0.500
Si: 0.396 0.104 0.500
Si: 0.604 0.896 0.500
Si: 0.896 0.396 0.500
Bi: 0.000 0.000 0.500
Bi: 0.500 0.500 0.500

=====

The following is a simulated PXRD pattern of GaNiPd4. It was derived from a structure optimized by DFT (PBE), using copper Kα.
No peak broadening, texture or thermal motion is included.

Top 6 peaks for 15° ≤ 2θ ≤ 90°, in order of rising 2θ:
d (Å)	I (rel.)
2.960	30
2.648	23
2.376	50
2.266	100
2.093	41
1.538	29

Atomic structure:
a = 5.920 Å, b = 5.920 Å, c = 5.391 Å
α = 90.00°, β = 90.00°, γ = 90.00°
Element x y z (fractional)
Ga: 0.000 0.500 0.250
Ga: 0.500 0.000 0.750
Ni: 0.000 0.000 0.000
Ni: 0.000 0.000 0.500
Pd: 0.247 0.320 0.893
Pd: 0.247 0.680 0.607
Pd: 0.320 0.247 0.393
Pd: 0.320 0.753 0.107
Pd: 0.680 0.247 0.107
Pd: 0.680 0.753 0.393
Pd: 0.753 0.320 0.607
Pd: 0.753 0.680 0.893

=====

The following is a simulated PXRD pattern of Cs2PtOF6. It was derived from a structure optimized by DFT (PBE), using copper Kα.
No peak broadening, texture or thermal motion is included.

Top 6 peaks for 15° ≤ 2θ ≤ 90°, in order of rising 2θ:
d (Å)	I (rel.)
5.388	67
3.338	100
3.226	45
2.281	30
1.883	38
1.669	20

Atomic structure:
a = 6.692 Å, b = 6.692 Å, c = 6.692 Å
α = 122.35°, β = 122.35°, γ = 85.98°
Element x y z (fractional)
Cs: 0.250 0.750 0.500
Cs: 0.750 0.250 0.500
Pt: 0.000 0.000 0.000
O: 0.500 0.500 0.000
F: 0.202 0.202 0.000
F: 0.217 0.217 0.434
F: 0.217 0.783 0.000
F: 0.783 0.217 0.000
F: 0.783 0.783 0.566
F: 0.798 0.798 0.000